Entry 1:
The following is a simulated powder X-ray diffraction pattern of Pr2ErBi3. It was derived from DFT lattice parameters and positions (PBE), using Cu Kα (weighted mean of Kα1 and Kα2).
Intensities are scaled so that the largest is 100.

Crystal structure
```
data_Pr2ErBi3
_chemical_formula_sum 'Pr2 Er1 Bi3'
_space_group_name_H-M_alt 'P -3 m 1'
_space_group_IT_number 164
_space_group_name_Hall '-P 3 2"'
_cell_length_a 4.5465
_cell_length_b 4.5465
_cell_length_c 11.1581
_cell_angle_alpha 90.00
_cell_angle_beta 90.00
_cell_angle_gamma 120.00
loop_
_atom_site_label
_atom_site_type_symbol
_atom_site_fract_x
_atom_site_fract_y
_atom_site_fract_z
_atom_site_occupancy
Pr1 Pr 0.3333 0.6667 0.3278 1
Er1 Er 0.0000 0.0000 0.0000 1
Bi1 Bi 0.0000 0.0000 0.5000 1
Bi2 Bi 0.3333 0.6667 0.8451 1
```

Most intense lines, 10 to 90 degrees two-theta, by angle:
2θ (°)  d_spacing  I_rel
27.73  3.217  100.0
39.62  2.275  78.1
49.05  1.857  28.1
57.28  1.608  13.3
64.81  1.439  36.3
71.92  1.313  20.8

***

Entry 2:
The following is a simulated powder X-ray diffraction pattern of Er3Bi2S. It was derived from DFT lattice parameters and positions (PBE), using Cu Kα (weighted mean of Kα1 and Kα2).
Intensities are scaled so that the largest is 100.

Crystal structure
```
data_Er3Bi2S
_chemical_formula_sum 'Er3 Bi2 S1'
_space_group_name_H-M_alt 'P -3 m 1'
_space_group_IT_number 164
_space_group_name_Hall '-P 3 2"'
_cell_length_a 4.2385
_cell_length_b 4.2385
_cell_length_c 10.4724
_cell_angle_alpha 90.00
_cell_angle_beta 90.00
_cell_angle_gamma 120.00
loop_
_atom_site_label
_atom_site_type_symbol
_atom_site_fract_x
_atom_site_fract_y
_atom_site_fract_z
_atom_site_occupancy
Er1 Er 0.0000 0.0000 0.0000 1
Er2 Er 0.3333 0.6667 0.6378 1
Bi1 Bi 0.3333 0.6667 0.1805 1
S1 S 0.0000 0.0000 0.5000 1
```

Most intense lines, 10 to 90 degrees two-theta, by angle:
2θ (°)  d_spacing  I_rel
29.72  3.006  100.0
35.49  2.530  13.6
42.41  2.131  30.7
42.66  2.119  38.4
52.86  1.732  20.4
70.18  1.341  17.7

***

Entry 3:
The following is a simulated powder X-ray diffraction pattern of Er2Sc2BiSb. It was derived from DFT lattice parameters and positions (PBE), using Cu Kα (weighted mean of Kα1 and Kα2).
Intensities are scaled so that the largest is 100.

Crystal structure
```
data_Er2Sc2BiSb
_chemical_formula_sum 'Er4 Sc4 Bi2 Sb2'
_space_group_name_H-M_alt 'I 4 m m'
_space_group_IT_number 107
_space_group_name_Hall 'I 4 -2'
_cell_length_a 4.3579
_cell_length_b 4.3579
_cell_length_c 16.3446
_cell_angle_alpha 90.00
_cell_angle_beta 90.00
_cell_angle_gamma 90.00
loop_
_atom_site_label
_atom_site_type_symbol
_atom_site_fract_x
_atom_site_fract_y
_atom_site_fract_z
_atom_site_occupancy
Er1 Er 0.0000 0.0000 0.0000 1
Er2 Er 0.0000 0.0000 0.3507 1
Sc1 Sc 0.0000 0.5000 0.1807 1
Bi1 Bi 0.0000 0.0000 0.5440 1
Sb1 Sb 0.0000 0.0000 0.8107 1
```

Most intense lines, 10 to 90 degrees two-theta, by angle:
2θ (°)  d_spacing  I_rel
28.98  3.082  100.0
31.02  2.883  57.3
34.29  2.615  67.2
36.52  2.460  87.9
41.44  2.179  66.6
54.81  1.675  53.4

***

Entry 4:
The following is a simulated powder X-ray diffraction pattern of YErSc2Bi2. It was derived from DFT lattice parameters and positions (PBE), using Cu Kα (weighted mean of Kα1 and Kα2).
Intensities are scaled so that the largest is 100.

Crystal structure
```
data_YErSc2Bi2
_chemical_formula_sum 'Y2 Er2 Sc4 Bi4'
_space_group_name_H-M_alt 'I 4 m m'
_space_group_IT_number 107
_space_group_name_Hall 'I 4 -2'
_cell_length_a 4.3953
_cell_length_b 4.3953
_cell_length_c 16.5458
_cell_angle_alpha 90.00
_cell_angle_beta 90.00
_cell_angle_gamma 90.00
loop_
_atom_site_label
_atom_site_type_symbol
_atom_site_fract_x
_atom_site_fract_y
_atom_site_fract_z
_atom_site_occupancy
Y1 Y 0.0000 0.0000 0.0000 1
Er1 Er 0.0000 0.0000 0.3525 1
Sc1 Sc 0.0000 0.5000 0.1771 1
Bi1 Bi 0.0000 0.0000 0.5449 1
Bi2 Bi 0.0000 0.0000 0.8086 1
```

Most intense lines, 10 to 90 degrees two-theta, by angle:
2θ (°)  d_spacing  I_rel
21.48  4.136  42.6
28.72  3.108  92.4
30.73  2.909  38.3
33.91  2.644  61.6
36.15  2.485  100.0
41.07  2.198  61.4

***

Entry 5:
The following is a simulated powder X-ray diffraction pattern of Er2Tc2Bi. It was derived from DFT lattice parameters and positions (PBE), using Cu Kα (weighted mean of Kα1 and Kα2).
Intensities are scaled so that the largest is 100.

Crystal structure
```
data_Er2Tc2Bi
_chemical_formula_sum 'Er4 Tc4 Bi2'
_space_group_name_H-M_alt 'P b a m'
_space_group_IT_number 55
_cell_length_a 4.8359
_cell_length_b 13.6105
_cell_length_c 3.4375
_cell_angle_alpha 90.00
_cell_angle_beta 90.00
_cell_angle_gamma 90.00
loop_
_space_group_symop_operation_xyz
'x,y,z'
'-x,-y,-z'
'-x,-y,z'
'x,y,-z'
'x+1/2,-y+1/2,-z'
'-x+1/2,y+1/2,z'
'-x+1/2,y+1/2,-z'
'x+1/2,-y+1/2,z'
loop_
_atom_site_label
_atom_site_type_symbol
_atom_site_fract_x
_atom_site_fract_y
_atom_site_fract_z
_atom_site_occupancy
Er1 Er 0.0051 0.1615 0.0000 1
Tc1 Tc 0.0072 0.3369 0.5000 1
Bi1 Bi 0.0000 0.5000 0.0000 1
```

Most intense lines, 10 to 90 degrees two-theta, by angle:
2θ (°)  d_spacing  I_rel
26.95  3.309  24.4
37.18  2.418  27.5
37.74  2.384  100.0
39.74  2.268  21.3
55.55  1.654  16.1
67.40  1.389  18.2

***

Entry 6:
The following is a simulated powder X-ray diffraction pattern of ErTmZr2Bi2. It was derived from DFT lattice parameters and positions (PBE), using Cu Kα (weighted mean of Kα1 and Kα2).
Intensities are scaled so that the largest is 100.

Crystal structure
```
data_ErTmZr2Bi2
_chemical_formula_sum 'Er2 Tm2 Zr4 Bi4'
_space_group_name_H-M_alt 'I 4 m m'
_space_group_IT_number 107
_space_group_name_Hall 'I 4 -2'
_cell_length_a 4.3125
_cell_length_b 4.3125
_cell_length_c 16.7388
_cell_angle_alpha 90.00
_cell_angle_beta 90.00
_cell_angle_gamma 90.00
loop_
_atom_site_label
_atom_site_type_symbol
_atom_site_fract_x
_atom_site_fract_y
_atom_site_fract_z
_atom_site_occupancy
Er1 Er 0.0000 0.0000 0.0000 1
Tm1 Tm 0.0000 0.0000 0.3497 1
Zr1 Zr 0.0000 0.5000 0.1752 1
Bi1 Bi 0.0000 0.0000 0.5385 1
Bi2 Bi 0.0000 0.0000 0.8116 1
```

Most intense lines, 10 to 90 degrees two-theta, by angle:
2θ (°)  d_spacing  I_rel
29.29  3.049  58.4
31.22  2.865  62.6
33.90  2.644  42.0
36.46  2.464  100.0
41.90  2.156  62.9
53.71  1.706  40.8

***

Entry 7:
The following is a simulated powder X-ray diffraction pattern of YErZr2Bi2. It was derived from DFT lattice parameters and positions (PBE), using Cu Kα (weighted mean of Kα1 and Kα2).
Intensities are scaled so that the largest is 100.

Crystal structure
```
data_YErZr2Bi2
_chemical_formula_sum 'Y2 Er2 Zr4 Bi4'
_space_group_name_H-M_alt 'I 4 m m'
_space_group_IT_number 107
_space_group_name_Hall 'I 4 -2'
_cell_length_a 4.3186
_cell_length_b 4.3186
_cell_length_c 16.8398
_cell_angle_alpha 90.00
_cell_angle_beta 90.00
_cell_angle_gamma 90.00
loop_
_atom_site_label
_atom_site_type_symbol
_atom_site_fract_x
_atom_site_fract_y
_atom_site_fract_z
_atom_site_occupancy
Y1 Y 0.0000 0.0000 0.0000 1
Er1 Er 0.0000 0.0000 0.3519 1
Zr1 Zr 0.0000 0.5000 0.1768 1
Bi1 Bi 0.0000 0.0000 0.5413 1
Bi2 Bi 0.0000 0.0000 0.8120 1
```

Most intense lines, 10 to 90 degrees two-theta, by angle:
2θ (°)  d_spacing  I_rel
29.25  3.054  46.3
31.16  2.871  54.1
31.89  2.807  27.6
33.75  2.656  38.4
36.34  2.472  100.0
41.83  2.159  56.2

***

Entry 8:
The following is a simulated powder X-ray diffraction pattern of ZnBi6P2O14F2. It was derived from DFT lattice parameters and positions (PBE), using Cu Kα (weighted mean of Kα1 and Kα2).
Intensities are scaled so that the largest is 100.

Crystal structure
```
data_ZnBi6P2O14F2
_chemical_formula_sum 'Zn4 Bi24 P8 O56 F8'
_space_group_name_H-M_alt 'C 1 2/c 1'
_space_group_IT_number 15
_cell_length_a 16.5801
_cell_length_b 5.5142
_cell_length_c 16.3418
_cell_angle_alpha 90.00
_cell_angle_beta 109.91
_cell_angle_gamma 90.00
loop_
_space_group_symop_operation_xyz
'x,y,z'
'-x,-y,-z'
'-x,y,-z+1/2'
'x,-y,z+1/2'
'x+1/2,y+1/2,z'
'-x+1/2,-y+1/2,-z'
'-x+1/2,y+1/2,-z+1/2'
'x+1/2,-y+1/2,z+1/2'
loop_
_atom_site_label
_atom_site_type_symbol
_atom_site_fract_x
_atom_site_fract_y
_atom_site_fract_z
_atom_site_occupancy
Zn1 Zn 0.0000 0.0000 0.0000 1
Bi1 Bi 0.0625 0.4372 0.1692 1
Bi2 Bi 0.1049 0.0438 0.8315 1
Bi3 Bi 0.2034 0.0302 0.6686 1
P1 P 0.1425 0.4913 0.5001 1
O1 O 0.0000 0.2216 0.2500 1
O2 O 0.0000 0.2841 0.7500 1
O3 O 0.0591 0.0356 0.1185 1
O4 O 0.0859 0.2927 0.9595 1
O5 O 0.1020 0.2497 0.4641 1
O6 O 0.1696 0.2262 0.2618 1
O7 O 0.1707 0.2802 0.7583 1
O8 O 0.1829 0.4985 0.0992 1
F1 F 0.2238 0.4841 0.9672 1
```

Most intense lines, 10 to 90 degrees two-theta, by angle:
2θ (°)  d_spacing  I_rel
11.52  7.683  30.5
28.76  3.105  100.0
32.44  2.760  28.3
35.04  2.561  15.0
48.52  1.876  17.2
59.06  1.564  14.7

***

Entry 9:
The following is a simulated powder X-ray diffraction pattern of PrBi2O4F. It was derived from DFT lattice parameters and positions (PBE), using Cu Kα (weighted mean of Kα1 and Kα2).
Intensities are scaled so that the largest is 100.

Crystal structure
```
data_PrBi2O4F
_chemical_formula_sum 'Pr1 Bi2 O4 F1'
_space_group_name_H-M_alt 'P 4/m m m'
_space_group_IT_number 123
_space_group_name_Hall '-P 4 2'
_cell_length_a 3.8714
_cell_length_b 3.8714
_cell_length_c 8.6479
_cell_angle_alpha 90.00
_cell_angle_beta 90.00
_cell_angle_gamma 90.00
loop_
_atom_site_label
_atom_site_type_symbol
_atom_site_fract_x
_atom_site_fract_y
_atom_site_fract_z
_atom_site_occupancy
Pr1 Pr 0.0000 0.0000 0.0000 1
Bi1 Bi 0.5000 0.5000 0.3021 1
O1 O 0.0000 0.5000 0.1734 1
F1 F 0.0000 0.0000 0.5000 1
```

Most intense lines, 10 to 90 degrees two-theta, by angle:
2θ (°)  d_spacing  I_rel
25.20  3.533  38.8
31.01  2.884  100.0
32.71  2.738  40.0
45.71  1.985  34.7
57.33  1.607  41.7
78.09  1.224  23.3

***

Entry 10:
The following is a simulated powder X-ray diffraction pattern of FeBi. It was derived from DFT lattice parameters and positions (PBE), using Cu Kα (weighted mean of Kα1 and Kα2).
Intensities are scaled so that the largest is 100.

Crystal structure
```
data_FeBi
_chemical_formula_sum 'Fe4 Bi4'
_space_group_name_H-M_alt 'C m c m'
_space_group_IT_number 63
_space_group_name_Hall '-C 2c 2'
_cell_length_a 3.8280
_cell_length_b 10.1076
_cell_length_c 4.1484
_cell_angle_alpha 90.00
_cell_angle_beta 90.00
_cell_angle_gamma 90.00
loop_
_atom_site_label
_atom_site_type_symbol
_atom_site_fract_x
_atom_site_fract_y
_atom_site_fract_z
_atom_site_occupancy
Fe1 Fe 0.0000 0.0642 0.2500 1
Bi1 Bi 0.0000 0.3562 0.2500 1
```

Most intense lines, 10 to 90 degrees two-theta, by angle:
2θ (°)  d_spacing  I_rel
27.82  3.206  55.4
33.05  2.710  100.0
35.50  2.528  73.3
41.84  2.159  48.3
55.98  1.643  33.1
57.47  1.604  37.4

***

Entry 11:
The following is a simulated powder X-ray diffraction pattern of HfFeBiMo. It was derived from DFT lattice parameters and positions (PBE), using Cu Kα (weighted mean of Kα1 and Kα2).
Intensities are scaled so that the largest is 100.

Crystal structure
```
data_HfFeBiMo
_chemical_formula_sum 'Hf4 Fe4 Bi4 Mo4'
_space_group_name_H-M_alt 'F -4 3 m'
_space_group_IT_number 216
_space_group_name_Hall 'F -4 2 3'
_cell_length_a 6.5420
_cell_length_b 6.5420
_cell_length_c 6.5420
_cell_angle_alpha 90.00
_cell_angle_beta 90.00
_cell_angle_gamma 90.00
loop_
_atom_site_label
_atom_site_type_symbol
_atom_site_fract_x
_atom_site_fract_y
_atom_site_fract_z
_atom_site_occupancy
Hf1 Hf 0.0000 0.0000 0.0000 1
Fe1 Fe 0.2500 0.2500 0.7500 1
Bi1 Bi 0.0000 0.0000 0.5000 1
Mo1 Mo 0.2500 0.2500 0.2500 1
```

Most intense lines, 10 to 90 degrees two-theta, by angle:
2θ (°)  d_spacing  I_rel
27.26  3.271  21.6
38.94  2.313  100.0
56.25  1.636  17.1
63.61  1.463  9.2
70.52  1.335  34.9
83.61  1.156  11.3

***

Entry 12:
The following is a simulated powder X-ray diffraction pattern of Hf4FeBiN2. It was derived from DFT lattice parameters and positions (PBE), using Cu Kα (weighted mean of Kα1 and Kα2).
Intensities are scaled so that the largest is 100.

Crystal structure
```
data_Hf4FeBiN2
_chemical_formula_sum 'Hf4 Fe1 Bi1 N2'
_space_group_name_H-M_alt 'P -6 m 2'
_space_group_IT_number 187
_space_group_name_Hall 'P -6 2'
_cell_length_a 3.2293
_cell_length_b 3.2293
_cell_length_c 14.0727
_cell_angle_alpha 90.00
_cell_angle_beta 90.00
_cell_angle_gamma 120.00
loop_
_atom_site_label
_atom_site_type_symbol
_atom_site_fract_x
_atom_site_fract_y
_atom_site_fract_z
_atom_site_occupancy
Hf1 Hf 0.0000 0.0000 0.1369 1
Hf2 Hf 0.6667 0.3333 0.3223 1
Fe1 Fe 0.6667 0.3333 0.0000 1
Bi1 Bi 0.0000 0.0000 0.5000 1
N1 N 0.3333 0.6667 0.2306 1
```

Most intense lines, 10 to 90 degrees two-theta, by angle:
2θ (°)  d_spacing  I_rel
32.00  2.797  27.5
34.51  2.599  14.7
37.44  2.402  100.0
57.04  1.615  23.6
62.36  1.489  16.2
70.24  1.340  16.1

***

Entry 13:
The following is a simulated powder X-ray diffraction pattern of Hf2FeBi2Pt. It was derived from DFT lattice parameters and positions (PBE), using Cu Kα (weighted mean of Kα1 and Kα2).
Intensities are scaled so that the largest is 100.

Crystal structure
```
data_Hf2FeBi2Pt
_chemical_formula_sum 'Hf8 Fe4 Bi8 Pt4'
_space_group_name_H-M_alt 'I -4 2 d'
_space_group_IT_number 122
_space_group_name_Hall 'I -4 2bw'
_cell_length_a 6.3283
_cell_length_b 6.3283
_cell_length_c 12.5224
_cell_angle_alpha 90.00
_cell_angle_beta 90.00
_cell_angle_gamma 90.00
loop_
_atom_site_label
_atom_site_type_symbol
_atom_site_fract_x
_atom_site_fract_y
_atom_site_fract_z
_atom_site_occupancy
Hf1 Hf 0.2461 0.7500 0.1250 1
Fe1 Fe 0.0000 0.0000 0.0000 1
Bi1 Bi 0.2273 0.2500 0.1250 1
Pt1 Pt 0.0000 0.0000 0.5000 1
```

Most intense lines, 10 to 90 degrees two-theta, by angle:
2θ (°)  d_spacing  I_rel
24.45  3.641  24.4
28.20  3.164  32.6
40.31  2.237  49.9
40.54  2.225  100.0
73.43  1.289  33.2
73.89  1.283  17.2

***

Entry 14:
The following is a simulated powder X-ray diffraction pattern of InFe3Bi5. It was derived from DFT lattice parameters and positions (PBE), using Cu Kα (weighted mean of Kα1 and Kα2).
Intensities are scaled so that the largest is 100.

Crystal structure
```
data_InFe3Bi5
_chemical_formula_sum 'In1 Fe3 Bi5'
_space_group_name_H-M_alt 'P 6/m m m'
_space_group_IT_number 191
_space_group_name_Hall '-P 6 2'
_cell_length_a 5.5156
_cell_length_b 5.5156
_cell_length_c 8.5010
_cell_angle_alpha 90.00
_cell_angle_beta 90.00
_cell_angle_gamma 120.00
loop_
_atom_site_label
_atom_site_type_symbol
_atom_site_fract_x
_atom_site_fract_y
_atom_site_fract_z
_atom_site_occupancy
In1 In 0.0000 0.0000 0.0000 1
Fe1 Fe 0.0000 0.5000 0.5000 1
Bi1 Bi 0.0000 0.0000 0.5000 1
Bi2 Bi 0.3333 0.6667 0.2212 1
```

Most intense lines, 10 to 90 degrees two-theta, by angle:
2θ (°)  d_spacing  I_rel
28.10  3.175  100.0
32.47  2.758  97.6
38.93  2.313  26.3
43.46  2.082  58.3
54.51  1.683  30.6
55.28  1.662  31.8